The following is a calculated powder diffractogram of Ba2CaMnO5. It was derived from a cell relaxed with GGA+U, using Cu Kα X-rays.
Lines closer than 0.1° are merged.

Principal peaks in the range 5° ≤ 2θ ≤ 70°, most intense first:
2theta  d/Å  I_rel  hkl
34.20  2.622  100  1 1 3
26.52  3.361  97  0 2 3
29.36  3.042  56  1 1 2
31.02  2.883  52  1 3 0
27.04  3.297  46  0 4 1
49.17  1.853  28  2 0 0
52.12  1.755  27  1 5 4
30.24  2.956  26  0 4 2
32.00  2.797  25  1 3 1
56.73  1.623  23  2 2 3

Cell and atoms:
a = 3.7061 Å, b = 13.7612 Å, c = 11.5534 Å
α = 90.00°, β = 90.00°, γ = 90.00°
Space group Cmc2_1 (No. 36)
One atom of each set of equivalent atoms:
Ba 0.0000 0.0994 0.0000 [4 per cell]
Ba 0.0000 0.1575 0.6387 [4 per cell]
Ca 0.0000 0.2013 0.3465 [4 per cell]
Mn 0.0000 0.4779 0.7618 [4 per cell]
O 0.0000 0.0320 0.3070 [4 per cell]
O 0.0000 0.2841 0.9772 [4 per cell]
O 0.0000 0.3418 0.7199 [4 per cell]
O 0.0000 0.3853 0.3209 [4 per cell]
O 0.0000 0.4834 0.1108 [4 per cell]